1.
This entry pairs a crystal structure of BaHoPdO4 with its theoretical X-ray diffraction stick pattern. Radiation: CuKα. Structure: a DFT-relaxed cell (PBE, Alexandria).

Structure:
```
data_BaHoPdO4
_space_group_name_H-M_alt 'I m m a'
_space_group_IT_number 74
_space_group_name_Hall '-I 2b 2'
_cell_length_a 6.692
_cell_length_b 6.981
_cell_length_c 10.170
_cell_angle_alpha 90.00
_cell_angle_beta 90.00
_cell_angle_gamma 90.00
loop_
_atom_site_label
_atom_site_type_symbol
_atom_site_fract_x
_atom_site_fract_y
_atom_site_fract_z
Ba1 Ba 0.000 0.250 0.141
Ho1 Ho 0.000 0.000 0.500
Pd1 Pd 0.250 0.250 0.750
O1 O 0.000 0.065 0.727
O2 O 0.211 0.250 0.502
```

Largest 10 diffraction maxima, sorted by position, 2θ from 15° to 90°:
15.85 deg, I 35, (1 0 1)
25.44 deg, I 53, (1 1 2)
29.29 deg, I 31, (0 1 3)
29.54 deg, I 68, (1 0 3)
30.18 deg, I 100, (1 2 1)
30.91 deg, I 63, (2 1 1)
31.08 deg, I 46, (0 2 2)
49.30 deg, I 32, (3 2 1)
52.24 deg, I 69, (2 2 4)
61.32 deg, I 29, (2 0 6)



2.
This entry pairs a crystal structure of BaHoReO6 with its theoretical X-ray diffraction stick pattern. Radiation: CuKα. Structure: a DFT-relaxed cell (PBE, Alexandria).

Structure:
```
data_BaHoReO6
_space_group_name_H-M_alt 'P 3 1 2'
_space_group_IT_number 149
_space_group_name_Hall 'P 3 2'
_cell_length_a 5.6069
_cell_length_b 5.6069
_cell_length_c 5.6223
_cell_angle_alpha 90.00
_cell_angle_beta 90.00
_cell_angle_gamma 120.00
loop_
_atom_site_label
_atom_site_type_symbol
_atom_site_fract_x
_atom_site_fract_y
_atom_site_fract_z
Ba1 Ba 0.0000 0.0000 0.0000
Ho1 Ho 0.3333 0.6667 0.5000
Re1 Re 0.6667 0.3333 0.5000
O1 O 0.4020 0.0433 0.6953
```

Largest 10 diffraction maxima, sorted by position, 2θ from 15° to 90°:
15.76 deg, I 29, (0 0 1)
24.22 deg, I 100, (1 0 1)
31.90 deg, I 62, (1 1 0)
35.79 deg, I 17, (2 -1 1)
40.47 deg, I 23, (2 0 1)
45.70 deg, I 49, (2 -1 2)
52.45 deg, I 24, (3 -1 1)
56.89 deg, I 14, (3 0 0)
66.70 deg, I 19, (2 2 0)
72.07 deg, I 19, (3 1 1)